Diffraction record for Ti5CoPd4. The X-ray diffraction stick pattern is calculated, not measured: it uses a cell relaxed with GGA-PBE and Cu Ka.
Lines closer than 0.1° are merged.

Structure:
Cell lengths 3.2903, 3.2903, 14.1749 Å; angles 90.00, 90.00, 90.00 degrees
Atoms (fractional coordinates):
Ti: 0.0000 0.0000 0.0000
Ti: 0.0000 0.0000 0.2038
Ti: 0.0000 0.0000 0.4089
Ti: 0.0000 0.0000 0.5911
Ti: 0.0000 0.0000 0.7962
Co: 0.5000 0.5000 0.5000
Pd: 0.5000 0.5000 0.1019
Pd: 0.5000 0.5000 0.3043
Pd: 0.5000 0.5000 0.6957
Pd: 0.5000 0.5000 0.8981

Principal peaks in the range 2θ = 15–90°, in order of rising 2θ:
Position (°2θ)  d (Å)  I/Imax  (hkl)
27.10  3.290  20.8  1 0 0
31.56  2.835  7.2  0 0 5
38.70  2.327  65.1  1 1 0
42.07  2.148  100.0  1 0 5
50.76  1.798  8.0  1 1 5
55.89  1.645  21.2  2 0 0
65.89  1.417  5.8  0 0 10
72.35  1.306  36.9  2 1 5
79.11  1.211  13.5  1 1 10
83.01  1.163  6.4  2 2 0